Record 1
# GdDyBe
Computed X-ray powder pattern, Cu Ka. Input: a crystal structure in Alexandria, relaxed with GGA-PBE.

```
data_GdDyBe
_cell_length_a 6.4992
_cell_length_b 6.4992
_cell_length_c 6.4992
_cell_angle_alpha 148.97
_cell_angle_beta 148.97
_cell_angle_gamma 44.45
_symmetry_space_group_name_H-M 'P 1'
_symmetry_Int_Tables_number 1
loop_
_symmetry_equiv_pos_as_xyz
'x,y,z'
loop_
_atom_site_label
_atom_site_type_symbol
_atom_site_fract_x
_atom_site_fract_y
_atom_site_fract_z
Gd1 Gd 0.0000 0.0000 0.0000
Dy1 Dy 0.2711 0.2711 0.0000
Be1 Be 0.6387 0.6387 0.0000
```

Most intense lines, 2θ from 5° to 70°, by angle:
| 2theta | I_rel |
| --- | --- |
| 26.7 | 100 |
| 29.7 | 42 |
| 34.1 | 95 |
| 36.6 | 56 |
| 45.9 | 12 |
| 47.8 | 46 |
| 52.7 | 20 |
| 60.0 | 43 |
| 61.6 | 26 |
| 64.3 | 30 |


Record 2
# Dy2BeGe2
Computed X-ray powder pattern, Cu Ka. Input: a crystal structure in Alexandria, relaxed with GGA-PBE.

```
data_Dy2BeGe2
_cell_length_a 7.8745
_cell_length_b 7.8745
_cell_length_c 6.9580
_cell_angle_alpha 90.00
_cell_angle_beta 90.00
_cell_angle_gamma 150.02
_symmetry_space_group_name_H-M 'P 1'
_symmetry_Int_Tables_number 1
loop_
_symmetry_equiv_pos_as_xyz
'x,y,z'
loop_
_atom_site_label
_atom_site_type_symbol
_atom_site_fract_x
_atom_site_fract_y
_atom_site_fract_z
Dy1 Dy 0.0267 0.9733 0.5000
Dy2 Dy 0.2128 0.7872 0.8235
Dy3 Dy 0.7872 0.2128 0.3235
Dy4 Dy 0.9733 0.0267 0.0000
Be1 Be 0.4081 0.5919 0.6494
Be2 Be 0.5919 0.4081 0.1494
Ge1 Ge 0.1623 0.8377 0.2233
Ge2 Ge 0.4310 0.5690 0.2885
Ge3 Ge 0.5690 0.4310 0.7885
Ge4 Ge 0.8377 0.1623 0.7233
```

Most intense lines, 2θ from 5° to 70°, by angle:
| 2theta | I_rel |
| --- | --- |
| 22.6 | 50 |
| 26.7 | 28 |
| 28.2 | 65 |
| 31.0 | 100 |
| 34.4 | 35 |
| 36.9 | 61 |
| 38.4 | 90 |
| 44.5 | 38 |
| 45.4 | 34 |
| 53.5 | 42 |


Record 3
# Dy3BeGe4
Computed X-ray powder pattern, Cu Ka. Input: a crystal structure in Alexandria, relaxed with GGA-PBE.

```
data_Dy3BeGe4
_cell_length_a 8.0710
_cell_length_b 8.0710
_cell_length_c 8.0710
_cell_angle_alpha 148.74
_cell_angle_beta 138.50
_cell_angle_gamma 52.86
_symmetry_space_group_name_H-M 'P 1'
_symmetry_Int_Tables_number 1
loop_
_symmetry_equiv_pos_as_xyz
'x,y,z'
loop_
_atom_site_label
_atom_site_type_symbol
_atom_site_fract_x
_atom_site_fract_y
_atom_site_fract_z
Dy1 Dy 0.0000 0.0000 0.0000
Dy2 Dy 0.3082 0.8082 0.5000
Dy3 Dy 0.6918 0.1918 0.5000
Be1 Be 0.5000 0.5000 0.0000
Ge1 Ge 0.1003 0.3805 0.7199
Ge2 Ge 0.3394 0.6195 0.7199
Ge3 Ge 0.6606 0.3805 0.2801
Ge4 Ge 0.8997 0.6195 0.2801
```

Most intense lines, 2θ from 5° to 70°, by angle:
| 2theta | I_rel |
| --- | --- |
| 24.2 | 77 |
| 28.6 | 100 |
| 37.3 | 84 |
| 38.2 | 65 |
| 40.2 | 29 |
| 41.5 | 35 |
| 42.2 | 21 |
| 48.6 | 24 |
| 49.5 | 19 |
| 59.2 | 19 |


Record 4
# Dy2Be4Ge3Rh
Computed X-ray powder pattern, Cu Ka. Input: a crystal structure in Alexandria, relaxed with GGA-PBE.

```
data_Dy2Be4Ge3Rh
_cell_length_a 3.8821
_cell_length_b 3.8821
_cell_length_c 9.9572
_cell_angle_alpha 90.00
_cell_angle_beta 90.00
_cell_angle_gamma 90.00
_symmetry_space_group_name_H-M 'P 1'
_symmetry_Int_Tables_number 1
loop_
_symmetry_equiv_pos_as_xyz
'x,y,z'
loop_
_atom_site_label
_atom_site_type_symbol
_atom_site_fract_x
_atom_site_fract_y
_atom_site_fract_z
Dy1 Dy 0.0000 0.5000 0.2492
Dy2 Dy 0.5000 0.0000 0.7508
Be1 Be 0.0000 0.0000 0.5000
Be2 Be 0.0000 0.5000 0.8680
Be3 Be 0.5000 0.0000 0.1320
Be4 Be 0.5000 0.5000 0.5000
Ge1 Ge 0.0000 0.0000 0.0000
Ge2 Ge 0.0000 0.5000 0.6352
Ge3 Ge 0.5000 0.0000 0.3648
Rh1 Rh 0.5000 0.5000 0.0000
```

Most intense lines, 2θ from 5° to 70°, by angle:
| 2theta | I_rel |
| --- | --- |
| 8.9 | 16 |
| 24.6 | 41 |
| 26.9 | 16 |
| 32.6 | 21 |
| 33.9 | 31 |
| 35.6 | 69 |
| 37.4 | 100 |
| 46.8 | 42 |
| 51.6 | 30 |
| 60.1 | 30 |